(1)
Theoretical X-ray diffraction stick pattern of Er3AlGa2 for Cu Kα, from a cell relaxed with PBE.
Kinematic intensities with the Lorentz-polarization factor, no thermal factor.

Main lines, most intense first (2θ = 10–90°):
2θ (°)	d/Å	I (rel.)
35.00	2.564	100
32.89	2.723	43
40.61	2.222	38
31.91	2.804	37
32.07	2.791	28
22.96	3.873	27
28.43	3.139	24
26.61	3.350	24
34.00	2.637	23
30.27	2.953	21

Structure:
```
Er3AlGa2
1.0
11.5546 0.0000 0.0000
0.0000 4.4433 0.0000
0.0000 0.0000 10.8331
Er Al Ga
12 4 8
direct
0.0459 0.2500 0.1292
0.1443 0.7500 0.5889
0.2066 0.2500 0.8224
0.2934 0.7500 0.3224
0.3557 0.2500 0.0889
0.4541 0.7500 0.6292
0.5459 0.2500 0.3708
0.6443 0.7500 0.9111
0.7066 0.2500 0.6776
0.7934 0.7500 0.1776
0.8557 0.2500 0.4111
0.9541 0.7500 0.8708
0.1254 0.2500 0.3980
0.3746 0.7500 0.8980
0.6254 0.2500 0.1020
0.8746 0.7500 0.6020
0.0143 0.7500 0.3331
0.1825 0.7500 0.0258
0.3175 0.2500 0.5258
0.4857 0.2500 0.8331
0.5143 0.7500 0.1669
0.6825 0.7500 0.4742
0.8175 0.2500 0.9742
0.9857 0.2500 0.6669
```


(2)
Theoretical X-ray diffraction stick pattern of RbCa2MnI8 for Cu Kα, from a cell relaxed with PBE.
Kinematic intensities with the Lorentz-polarization factor, no thermal factor.

Main lines, most intense first (2θ = 10–90°):
2θ (°)	d/Å	I (rel.)
25.64	3.474	100
25.25	3.527	87
24.80	3.590	68
32.75	2.735	63
39.58	2.277	54
26.89	3.316	33
40.26	2.240	29
24.91	3.574	28
26.65	3.345	26
28.50	3.132	26

Structure:
```
RbCa2MnI8
1.0
7.1672 0.0000 0.0000
0.0000 9.5201 0.0000
-0.5707 0.0000 7.7797
Rb Ca Mn I
1 2 1 8
direct
0.0000 0.0000 0.0000
0.5000 0.2658 0.5000
0.5000 0.7342 0.5000
0.0000 0.5000 0.0000
0.2319 0.3051 0.1427
0.2319 0.6949 0.1427
0.2541 0.5000 0.6561
0.3575 0.0000 0.7017
0.6425 0.0000 0.2983
0.7459 0.5000 0.3439
0.7681 0.3051 0.8573
0.7681 0.6949 0.8573
```


Number 2 is which compound?
RbCa2MnI8